[1]
Computed X-ray diffraction stick pattern
Compound: Sm3Si3Os
Radiation: CuKα
Structure: a crystal structure in Alexandria, relaxed with PBE
Neutral-atom scattering factors, no anomalous dispersion.

a = 10.9144 Å, b = 4.2886 Å, c = 13.8344 Å
α = 90.00°, β = 111.58°, γ = 90.00°
Space group C2/m (No. 12)
Unique sites:
Sm1 0.0173 0.0000 0.3741
Sm2 0.1017 0.0000 0.9199
Sm3 0.2465 0.0000 0.2288
Si1 0.0584 0.5000 0.2404
Si2 0.1086 0.5000 0.0740
Si3 0.1423 0.5000 0.5427
Os1 0.2460 0.5000 0.4145

Peak list (10 most intense, 10° ≤ 2θ ≤ 90°, by angle)
2θ = 22.5°, I 38, hkl 1 1 0; 2θ = 28.4°, I 38, hkl 1 1 -3; 2θ = 32.4°, I 33, hkl 3 1 -1; 2θ = 32.5°, I 52, hkl 3 1 -2; 2θ = 33.0°, I 100, hkl 1 1 3; 2θ = 33.3°, I 43, hkl 4 0 -1; 2θ = 34.2°, I 33, hkl 3 1 -3; 2θ = 37.2°, I 38, hkl 3 1 -4; 2θ = 40.3°, I 39, hkl 3 1 2; 2θ = 42.1°, I 71, hkl 0 2 0

[2]
Computed X-ray diffraction stick pattern
Compound: Sm3Si4Os2
Radiation: CuKα
Structure: a crystal structure in Alexandria, relaxed with PBE
Neutral-atom scattering factors, no anomalous dispersion.

a = 10.9500 Å, b = 4.2231 Å, c = 8.1308 Å
α = 90.00°, β = 108.53°, γ = 90.00°
Space group C2/m (No. 12)
Unique sites:
Sm1 0.0000 0.0000 0.0000
Sm2 0.1120 0.5000 0.6990
Si1 0.1058 0.0000 0.4086
Si2 0.2211 0.5000 0.0803
Os1 0.1873 0.5000 0.3572

Peak list (10 most intense, 10° ≤ 2θ ≤ 90°, by angle)
2θ = 11.5°, I 38, hkl 0 0 1; 2θ = 26.8°, I 46, hkl 1 1 1; 2θ = 30.5°, I 69, hkl 1 1 -2; 2θ = 33.5°, I 87, hkl 3 1 0; 2θ = 35.0°, I 100, hkl 4 0 -2; 2θ = 38.2°, I 32, hkl 3 1 1; 2θ = 40.0°, I 31, hkl 4 0 1; 2θ = 42.3°, I 38, hkl 3 1 -3; 2θ = 42.8°, I 45, hkl 0 2 0; 2θ = 56.4°, I 51, hkl 4 2 -2